# 1
Diffraction record for AcPrNd4Sm2. The powder XRD pattern is computed, not measured: it uses the GGA-PBE geometry in Alexandria and Cu Kα, 1.54184 Å.
Intensities are scaled so that the largest is 100.

Largest 6 diffraction maxima, in order of rising 2θ, 10° ≤ 2θ ≤ 90°:
3.390 Å, 2θ = 26.3°, I 100
3.079 Å, 2θ = 29.0°, I 65
3.063 Å, 2θ = 29.2°, I 66
3.041 Å, 2θ = 29.4°, I 76
2.273 Å, 2θ = 39.7°, I 57
2.264 Å, 2θ = 39.8°, I 67

Crystal structure
a = 9.764 Å, b = 9.764 Å, c = 7.116 Å
α = 111.13°, β = 111.13°, γ = 87.96°
Positions (direct):
Ac 0.000 0.500 0.000
Ac 0.500 0.000 0.500
Pr 0.000 0.000 0.000
Pr 0.000 0.000 0.500
Nd 0.244 0.262 0.571
Nd 0.252 0.747 0.514
Nd 0.253 0.748 0.986
Nd 0.262 0.244 0.071
Nd 0.738 0.756 0.929
Nd 0.747 0.252 0.014
Nd 0.748 0.253 0.486
Nd 0.756 0.738 0.429
Sm 0.000 0.500 0.500
Sm 0.500 0.000 0.000
Sm 0.500 0.500 0.000
Sm 0.500 0.500 0.500


# 2
Diffraction record for Lu2SbS. The powder XRD pattern is computed, not measured: it uses the GGA-PBE geometry in Alexandria and Cu Kα, 1.54184 Å.
Intensities are scaled so that the largest is 100.

Largest 6 diffraction maxima, in order of rising 2θ, 10° ≤ 2θ ≤ 90°:
3.314 Å, 2θ = 26.9°, I 21
2.874 Å, 2θ = 31.1°, I 100
2.037 Å, 2θ = 44.5°, I 33
2.028 Å, 2θ = 44.7°, I 38
1.657 Å, 2θ = 55.5°, I 19
1.283 Å, 2θ = 73.9°, I 17

Crystal structure
a = 7.066 Å, b = 7.066 Å, c = 7.066 Å
α = 33.36°, β = 33.36°, γ = 33.36°
Positions (direct):
Lu 0.241 0.241 0.241
Lu 0.759 0.759 0.759
Sb 0.000 0.000 0.000
S 0.500 0.500 0.500


# 3
Diffraction record for K6Mo6C5Se8N5. The powder XRD pattern is computed, not measured: it uses the GGA-PBE geometry in Alexandria and Cu Kα, 1.54184 Å.
Intensities are scaled so that the largest is 100.

Largest 6 diffraction maxima, in order of rising 2θ, 10° ≤ 2θ ≤ 90°:
8.306 Å, 2θ = 10.7°, I 100
7.433 Å, 2θ = 11.9°, I 100
2.937 Å, 2θ = 30.4°, I 42
2.304 Å, 2θ = 39.1°, I 51
2.127 Å, 2θ = 42.5°, I 29
1.894 Å, 2θ = 48.0°, I 31

Crystal structure
a = 9.593 Å, b = 9.593 Å, c = 9.593 Å
α = 104.50°, β = 104.50°, γ = 119.96°
Positions (direct):
K 0.000 0.500 0.500
K 0.023 0.122 0.644
K 0.122 0.479 0.100
K 0.379 0.023 0.900
K 0.479 0.379 0.356
K 0.500 0.000 0.500
Mo 0.543 0.543 0.000
Mo 0.596 0.696 0.794
Mo 0.696 0.902 0.100
Mo 0.802 0.596 0.900
Mo 0.902 0.802 0.206
Mo 0.958 0.958 0.000
C 0.080 0.854 0.435
C 0.184 0.184 0.000
C 0.419 0.645 0.565
C 0.645 0.080 0.225
C 0.854 0.419 0.775
Se 0.038 0.140 0.294
Se 0.140 0.847 0.102
Se 0.358 0.652 0.897
Se 0.460 0.358 0.706
Se 0.652 0.754 0.294
Se 0.744 0.038 0.898
Se 0.754 0.460 0.103
Se 0.847 0.744 0.706
N 0.178 0.880 0.558
N 0.308 0.308 0.000
N 0.322 0.619 0.442
N 0.619 0.178 0.298
N 0.880 0.322 0.702


# 4
Diffraction record for CsTlSe2. The powder XRD pattern is computed, not measured: it uses the GGA-PBE geometry in Alexandria and Cu Kα, 1.54184 Å.
Intensities are scaled so that the largest is 100.

Largest 6 diffraction maxima, in order of rising 2θ, 10° ≤ 2θ ≤ 90°:
3.934 Å, 2θ = 22.6°, I 43
3.334 Å, 2θ = 26.7°, I 100
3.230 Å, 2θ = 27.6°, I 40
3.133 Å, 2θ = 28.5°, I 34
2.788 Å, 2θ = 32.1°, I 80
2.364 Å, 2θ = 38.1°, I 49

Crystal structure
a = 7.009 Å, b = 7.009 Å, c = 6.761 Å
α = 102.04°, β = 102.04°, γ = 90.08°
Positions (direct):
Cs 0.138 0.862 0.750
Cs 0.862 0.138 0.250
Tl 0.404 0.596 0.250
Tl 0.596 0.404 0.750
Se 0.056 0.396 0.859
Se 0.396 0.056 0.359
Se 0.604 0.944 0.641
Se 0.944 0.604 0.141


# 5
Diffraction record for Cs3K2YF9. The powder XRD pattern is computed, not measured: it uses the GGA-PBE geometry in Alexandria and Cu Kα, 1.54184 Å.
Intensities are scaled so that the largest is 100.

Largest 6 diffraction maxima, in order of rising 2θ, 10° ≤ 2θ ≤ 90°:
4.877 Å, 2θ = 18.2°, I 27
3.468 Å, 2θ = 25.7°, I 100
3.430 Å, 2θ = 26.0°, I 96
2.806 Å, 2θ = 31.9°, I 34
2.439 Å, 2θ = 36.9°, I 77
1.987 Å, 2θ = 45.6°, I 42

Crystal structure
a = 6.859 Å, b = 6.859 Å, c = 8.544 Å
α = 90.00°, β = 90.00°, γ = 120.00°
Positions (direct):
Cs 0.000 0.000 0.000
Cs 0.333 0.667 0.700
Cs 0.667 0.333 0.300
K 0.333 0.667 0.195
K 0.667 0.333 0.805
Y 0.000 0.000 0.500
F 0.000 0.500 0.000
F 0.149 0.298 0.349
F 0.149 0.851 0.349
F 0.298 0.149 0.651
F 0.500 0.000 0.000
F 0.500 0.500 0.000
F 0.702 0.851 0.349
F 0.851 0.149 0.651
F 0.851 0.702 0.651


# 6
Diffraction record for Ba3TbIrRuO9. The powder XRD pattern is computed, not measured: it uses the GGA-PBE geometry in Alexandria and Cu Kα, 1.54184 Å.
Intensities are scaled so that the largest is 100.

Largest 6 diffraction maxima, in order of rising 2θ, 10° ≤ 2θ ≤ 90°:
3.557 Å, 2θ = 25.0°, I 19
2.997 Å, 2θ = 29.8°, I 62
2.981 Å, 2θ = 30.0°, I 100
2.113 Å, 2θ = 42.8°, I 34
1.723 Å, 2θ = 53.2°, I 44
1.490 Å, 2θ = 62.3°, I 18

Crystal structure
a = 5.962 Å, b = 5.962 Å, c = 14.719 Å
α = 90.00°, β = 90.00°, γ = 120.00°
Positions (direct):
Ba 0.000 0.000 0.000
Ba 0.000 0.000 0.500
Ba 0.333 0.667 0.155
Ba 0.333 0.667 0.842
Ba 0.667 0.333 0.342
Ba 0.667 0.333 0.655
Tb 0.000 0.000 0.250
Tb 0.000 0.000 0.750
Ir 0.333 0.667 0.586
Ir 0.667 0.333 0.086
Ru 0.333 0.667 0.414
Ru 0.667 0.333 0.914
O 0.021 0.510 0.500
O 0.177 0.353 0.339
O 0.177 0.353 0.664
O 0.177 0.823 0.339
O 0.177 0.823 0.664
O 0.353 0.177 0.164
O 0.353 0.177 0.839
O 0.490 0.510 0.500
O 0.490 0.979 0.500
O 0.510 0.021 0.000
O 0.510 0.490 0.000
O 0.647 0.823 0.339
O 0.647 0.823 0.664
O 0.823 0.177 0.164
O 0.823 0.177 0.839
O 0.823 0.647 0.164
O 0.823 0.647 0.839
O 0.979 0.490 0.000


# 7
Diffraction record for HoZrSb2. The powder XRD pattern is computed, not measured: it uses the GGA-PBE geometry in Alexandria and Cu Kα, 1.54184 Å.
Intensities are scaled so that the largest is 100.

Largest 6 diffraction maxima, in order of rising 2θ, 10° ≤ 2θ ≤ 90°:
3.265 Å, 2θ = 27.3°, I 68
2.562 Å, 2θ = 35.0°, I 100
2.118 Å, 2θ = 42.7°, I 50
1.632 Å, 2θ = 56.4°, I 25
1.367 Å, 2θ = 68.7°, I 23
1.293 Å, 2θ = 73.2°, I 23

Crystal structure
a = 4.236 Å, b = 4.236 Å, c = 7.157 Å
α = 90.00°, β = 90.00°, γ = 120.00°
Positions (direct):
Ho 0.000 0.000 0.000
Zr 0.000 0.000 0.500
Sb 0.333 0.667 0.737
Sb 0.667 0.333 0.263


# 8
Diffraction record for Sm2Mn2SnRh5. The powder XRD pattern is computed, not measured: it uses the GGA-PBE geometry in Alexandria and Cu Kα, 1.54184 Å.
Intensities are scaled so that the largest is 100.

Largest 6 diffraction maxima, in order of rising 2θ, 10° ≤ 2θ ≤ 90°:
2.845 Å, 2θ = 31.4°, I 37
2.536 Å, 2θ = 35.4°, I 35
2.379 Å, 2θ = 37.8°, I 100
2.353 Å, 2θ = 38.3°, I 56
2.189 Å, 2θ = 41.2°, I 37
1.470 Å, 2θ = 63.3°, I 30

Crystal structure
a = 9.700 Å, b = 9.700 Å, c = 3.768 Å
α = 90.00°, β = 90.00°, γ = 90.00°
Positions (direct):
Sm 0.180 0.320 0.000
Sm 0.320 0.820 0.000
Sm 0.680 0.180 0.000
Sm 0.820 0.680 0.000
Mn 0.118 0.618 0.000
Mn 0.382 0.118 0.000
Mn 0.618 0.882 0.000
Mn 0.882 0.382 0.000
Sn 0.000 0.000 0.000
Sn 0.500 0.500 0.000
Rh 0.000 0.500 0.500
Rh 0.065 0.789 0.500
Rh 0.211 0.065 0.500
Rh 0.289 0.565 0.500
Rh 0.435 0.289 0.500
Rh 0.500 0.000 0.500
Rh 0.565 0.711 0.500
Rh 0.711 0.435 0.500
Rh 0.789 0.935 0.500
Rh 0.935 0.211 0.500